No. 1
This entry pairs a crystal structure of MnCuW2 with its computed X-ray diffraction stick pattern. Radiation: copper Kα. Structure: a cell relaxed with GGA-PBE.

Principal peaks in the range 10 to 90 degrees two-theta, most intense first:
| 2θ (°) | intensity |
| --- | --- |
| 41.16 | 100.0 |
| 10.56 | 55.4 |
| 42.20 | 23.7 |
| 36.52 | 21.2 |
| 43.20 | 20.8 |
| 76.44 | 15.9 |
| 61.98 | 14.0 |
| 77.84 | 13.3 |
| 32.06 | 10.9 |
| 89.35 | 10.5 |
| 57.21 | 9.6 |
| 73.60 | 8.9 |

Crystal structure
a = 2.679 Å, b = 2.679 Å, c = 8.376 Å
α = 90.00°, β = 90.00°, γ = 106.13°
Sites, in units of the cell vectors:
Mn1 0.000 0.000 0.000
Cu1 0.500 0.500 0.234
W1 0.000 0.000 0.485
W2 0.500 0.500 0.755

No. 2
This entry pairs a crystal structure of Tb6Pm2Dy5 with its computed X-ray diffraction stick pattern. Radiation: copper Kα. Structure: a cell relaxed with GGA-PBE.

Principal peaks in the range 10 to 90 degrees two-theta, most intense first:
| 2θ (°) | intensity |
| --- | --- |
| 32.11 | 100.0 |
| 31.87 | 97.6 |
| 30.90 | 57.6 |
| 31.49 | 47.8 |
| 34.24 | 39.2 |
| 56.74 | 33.3 |
| 61.27 | 30.7 |
| 36.53 | 29.8 |
| 27.47 | 26.0 |
| 35.16 | 25.0 |
| 30.52 | 24.1 |
| 50.85 | 23.0 |

Crystal structure
a = 11.697 Å, b = 20.247 Å, c = 3.591 Å
α = 90.00°, β = 90.00°, γ = 90.00°
Sites, in units of the cell vectors:
Tb1 0.059 0.078 0.000
Tb2 0.080 0.366 0.000
Tb3 0.177 0.629 0.500
Tb4 0.323 0.129 0.500
Tb5 0.420 0.866 0.000
Tb6 0.441 0.578 0.000
Tb7 0.559 0.422 0.000
Tb8 0.580 0.134 0.000
Tb9 0.677 0.871 0.500
Tb10 0.823 0.371 0.500
Tb11 0.920 0.634 0.000
Tb12 0.941 0.922 0.000
Pm1 0.168 0.786 0.000
Pm2 0.332 0.286 0.000
Pm3 0.668 0.714 0.000
Pm4 0.832 0.214 0.000
Dy1 0.000 0.500 0.500
Dy2 0.092 0.223 0.500
Dy3 0.199 0.948 0.500
Dy4 0.301 0.448 0.500
Dy5 0.408 0.723 0.500
Dy6 0.500 0.000 0.500
Dy7 0.592 0.277 0.500
Dy8 0.699 0.552 0.500
Dy9 0.801 0.052 0.500
Dy10 0.908 0.777 0.500

No. 3
This entry pairs a crystal structure of Ca3Er2Sn3S12 with its computed X-ray diffraction stick pattern. Radiation: copper Kα. Structure: a cell relaxed with GGA-PBE.

Principal peaks in the range 10 to 90 degrees two-theta, most intense first:
| 2θ (°) | intensity |
| --- | --- |
| 27.63 | 100.0 |
| 15.34 | 63.7 |
| 33.04 | 53.4 |
| 38.81 | 52.6 |
| 26.79 | 46.1 |
| 47.85 | 38.3 |
| 46.64 | 21.0 |
| 26.68 | 19.9 |
| 54.59 | 19.5 |
| 38.91 | 19.5 |
| 45.88 | 16.7 |
| 17.70 | 16.4 |

Crystal structure
a = 3.895 Å, b = 11.558 Å, c = 11.558 Å
α = 120.27°, β = 90.00°, γ = 90.00°
Sites, in units of the cell vectors:
Ca1 0.000 0.000 0.000
Ca2 0.000 0.619 0.952
Ca3 0.000 0.952 0.619
Er1 0.000 0.284 0.569
Er2 0.000 0.569 0.284
Sn1 0.500 0.286 0.956
Sn2 0.500 0.611 0.611
Sn3 0.500 0.956 0.286
S1 0.000 0.112 0.292
S2 0.000 0.292 0.112
S3 0.000 0.307 0.820
S4 0.000 0.455 0.455
S5 0.000 0.756 0.756
S6 0.000 0.820 0.307
S7 0.500 0.035 0.834
S8 0.500 0.103 0.544
S9 0.500 0.470 0.722
S10 0.500 0.544 0.103
S11 0.500 0.722 0.470
S12 0.500 0.834 0.035

No. 4
This entry pairs a crystal structure of NaGaSi with its computed X-ray diffraction stick pattern. Radiation: copper Kα. Structure: a cell relaxed with GGA-PBE.

Principal peaks in the range 10 to 90 degrees two-theta, most intense first:
| 2θ (°) | intensity |
| --- | --- |
| 42.03 | 100.0 |
| 20.07 | 85.8 |
| 29.04 | 75.0 |
| 40.59 | 59.8 |
| 41.17 | 55.7 |
| 34.35 | 45.8 |
| 34.64 | 39.8 |
| 35.05 | 36.4 |
| 41.33 | 32.8 |
| 23.37 | 32.0 |
| 25.01 | 30.7 |
| 34.88 | 28.7 |

Crystal structure
a = 5.668 Å, b = 7.369 Å, c = 7.120 Å
α = 90.00°, β = 128.35°, γ = 90.00°
Sites, in units of the cell vectors:
Na1 0.196 0.206 0.100
Na2 0.196 0.294 0.600
Na3 0.804 0.706 0.400
Na4 0.804 0.794 0.900
Ga1 0.265 0.589 0.314
Ga2 0.265 0.911 0.814
Ga3 0.735 0.089 0.186
Ga4 0.735 0.411 0.686
Si1 0.272 0.578 0.944
Si2 0.272 0.922 0.444
Si3 0.728 0.078 0.556
Si4 0.728 0.422 0.056

No. 5
This entry pairs a crystal structure of K3SmTc2O9 with its computed X-ray diffraction stick pattern. Radiation: copper Kα. Structure: a cell relaxed with GGA-PBE.

Principal peaks in the range 10 to 90 degrees two-theta, most intense first:
| 2θ (°) | intensity |
| --- | --- |
| 21.55 | 100.0 |
| 30.45 | 94.4 |
| 30.85 | 89.9 |
| 43.90 | 67.4 |
| 54.62 | 33.7 |
| 49.68 | 21.2 |
| 49.14 | 19.9 |
| 64.29 | 19.7 |
| 63.38 | 18.7 |
| 53.87 | 18.3 |
| 54.87 | 16.9 |
| 72.15 | 16.1 |

Crystal structure
a = 5.796 Å, b = 5.796 Å, c = 7.236 Å
α = 90.00°, β = 90.00°, γ = 120.00°
Sites, in units of the cell vectors:
K1 0.000 0.000 0.000
K2 0.333 0.667 0.678
K3 0.667 0.333 0.322
Sm1 0.000 0.000 0.500
Tc1 0.333 0.667 0.157
Tc2 0.667 0.333 0.843
O1 0.000 0.500 0.000
O2 0.180 0.360 0.305
O3 0.180 0.820 0.305
O4 0.360 0.180 0.695
O5 0.500 0.000 0.000
O6 0.500 0.500 0.000
O7 0.640 0.820 0.305
O8 0.820 0.180 0.695
O9 0.820 0.640 0.695

No. 6
This entry pairs a crystal structure of RbMn2InCl8 with its computed X-ray diffraction stick pattern. Radiation: copper Kα. Structure: a cell relaxed with GGA-PBE.

Principal peaks in the range 10 to 90 degrees two-theta, most intense first:
| 2θ (°) | intensity |
| --- | --- |
| 16.99 | 100.0 |
| 22.46 | 97.4 |
| 37.44 | 52.4 |
| 15.99 | 42.5 |
| 15.83 | 42.1 |
| 28.07 | 41.9 |
| 22.21 | 39.1 |
| 25.37 | 38.8 |
| 29.54 | 37.2 |
| 30.72 | 34.6 |
| 28.35 | 27.4 |
| 41.61 | 26.0 |

Crystal structure
a = 6.660 Å, b = 6.675 Å, c = 9.413 Å
α = 80.02°, β = 78.91°, γ = 73.02°
Sites, in units of the cell vectors:
Rb1 0.000 0.000 0.000
Mn1 0.458 0.438 0.201
Mn2 0.542 0.562 0.799
In1 0.000 0.000 0.500
Cl1 0.145 0.660 0.290
Cl2 0.202 0.673 0.751
Cl3 0.378 0.152 0.334
Cl4 0.458 0.288 0.971
Cl5 0.542 0.712 0.029
Cl6 0.622 0.848 0.666
Cl7 0.798 0.327 0.249
Cl8 0.855 0.340 0.710

No. 7
This entry pairs a crystal structure of Tl2VI6 with its computed X-ray diffraction stick pattern. Radiation: copper Kα. Structure: a cell relaxed with GGA-PBE.

Principal peaks in the range 10 to 90 degrees two-theta, most intense first:
| 2θ (°) | intensity |
| --- | --- |
| 26.77 | 100.0 |
| 28.06 | 54.3 |
| 32.78 | 52.7 |
| 32.53 | 52.5 |
| 35.02 | 50.4 |
| 28.34 | 50.1 |
| 31.37 | 48.6 |
| 29.15 | 34.2 |
| 26.65 | 29.3 |
| 22.66 | 25.8 |
| 26.50 | 24.9 |
| 32.39 | 22.8 |

Crystal structure
a = 7.765 Å, b = 8.403 Å, c = 13.339 Å
α = 90.00°, β = 125.00°, γ = 90.00°
Sites, in units of the cell vectors:
Tl1 0.225 0.091 0.250
Tl2 0.225 0.409 0.750
Tl3 0.775 0.591 0.250
Tl4 0.775 0.909 0.750
V1 0.500 0.000 0.000
V2 0.500 0.500 0.500
I1 0.164 0.176 0.954
I2 0.164 0.324 0.454
I3 0.281 0.723 0.958
I4 0.281 0.777 0.458
I5 0.347 0.013 0.758
I6 0.347 0.487 0.258
I7 0.653 0.513 0.742
I8 0.653 0.987 0.242
I9 0.719 0.223 0.542
I10 0.719 0.277 0.042
I11 0.836 0.676 0.546
I12 0.836 0.824 0.046